No. 1
For Ac2Tb3Pr4, a PBE-relaxed structure gives the calculated powder diffractogram in this record (Cu Ka).
Intensities are scaled so that the largest is 100.

The 10 most intense peaks (10° ≤ 2θ ≤ 80°), most intense first:
Position (°2θ)  d/Å  I_rel
32.0  2.797  100.0
30.5  2.935  51.7
27.5  3.241  46.7
29.0  3.077  40.7
57.7  1.599  35.9
48.7  1.871  35.9
54.3  1.688  31.3
40.4  2.231  27.6
59.4  1.555  17.3
29.2  3.058  12.9

Structural model:
a = 3.7423 Å, b = 3.7423 Å, c = 27.6905 Å
α = 90.00°, β = 90.00°, γ = 120.00°
Space group P3m1 (No. 156)
Inequivalent atoms, fractional coordinates:
Ac: 0.0000 0.0000 0.0000
Ac: 0.0000 0.0000 0.2193
Tb: 0.0000 0.0000 0.7782
Tb: 0.3333 0.6667 0.1109
Tb: 0.3333 0.6667 0.4566
Pr: 0.0000 0.0000 0.3544
Pr: 0.0000 0.0000 0.5626
Pr: 0.3333 0.6667 0.6726
Pr: 0.3333 0.6667 0.8825

=====

No. 2
For AcTb2Pr7, a PBE-relaxed structure gives the calculated powder diffractogram in this record (Cu Ka).
Intensities are scaled so that the largest is 100.

The 10 most intense peaks (10° ≤ 2θ ≤ 80°), most intense first:
Position (°2θ)  d/Å  I_rel
29.5  3.032  100.0
34.1  2.626  50.8
58.3  1.583  29.0
49.0  1.857  18.3
49.1  1.854  12.2
58.1  1.587  7.4
58.4  1.581  7.3
61.0  1.518  6.3
49.0  1.860  6.3
79.4  1.207  4.5

Structural model:
a = 6.4185 Å, b = 6.4457 Å, c = 9.8211 Å
α = 109.10°, β = 102.53°, γ = 99.57°
Space group P-1 (No. 2)
Inequivalent atoms, fractional coordinates:
Ac: 0.0000 0.0000 0.0000
Tb: 0.0013 0.2009 0.4045
Pr: 0.0023 0.6024 0.2073
Pr: 0.4931 0.5995 0.6956
Pr: 0.4977 0.2026 0.8966
Pr: 0.5000 0.0000 0.5000

=====

No. 3
For Ac2Tb7Pr4, a PBE-relaxed structure gives the calculated powder diffractogram in this record (Cu Ka).
Intensities are scaled so that the largest is 100.

The 10 most intense peaks (10° ≤ 2θ ≤ 80°), most intense first:
Position (°2θ)  d/Å  I_rel
31.4  2.849  100.0
29.2  3.057  37.6
34.8  2.581  36.0
50.4  1.811  28.8
26.1  3.408  21.3
49.5  1.840  18.8
28.5  3.137  16.0
62.0  1.497  14.9
60.6  1.528  14.8
32.8  2.727  14.8

Structural model:
a = 6.2731 Å, b = 6.2731 Å, c = 13.6329 Å
α = 90.00°, β = 90.00°, γ = 120.00°
Space group P-31m (No. 162)
Inequivalent atoms, fractional coordinates:
Ac: 0.3333 0.6667 0.0000
Tb: 0.0000 0.0000 0.0000
Tb: 0.0000 0.3557 0.7831
Pr: 0.0000 0.0000 0.3923
Pr: 0.3333 0.6667 0.5000

=====

No. 4
For AcTb2Pr3, a PBE-relaxed structure gives the calculated powder diffractogram in this record (Cu Ka).
Intensities are scaled so that the largest is 100.

The 10 most intense peaks (10° ≤ 2θ ≤ 80°), most intense first:
Position (°2θ)  d/Å  I_rel
29.5  3.030  100.0
34.1  2.628  34.1
49.1  1.854  30.7
34.3  2.616  16.8
58.2  1.586  14.9
58.3  1.582  14.7
58.5  1.579  14.6
79.6  1.204  7.5
79.7  1.203  7.5
61.1  1.517  6.4

Structural model:
a = 10.4645 Å, b = 7.4507 Å, c = 12.2924 Å
α = 90.00°, β = 115.16°, γ = 90.00°
Space group C2/c (No. 15)
Inequivalent atoms, fractional coordinates:
Ac: 0.0000 0.1259 0.2500
Tb: 0.1657 0.1246 0.5821
Pr: 0.0000 0.3747 0.7500
Pr: 0.1657 0.3753 0.0810